# 1
Diffraction record for V2O3F. The powder diffraction line list is computed, not measured: it uses a crystal structure in Alexandria, relaxed with GGA+U and λ = 1.5418 Å (Cu Kα).
Intensities are scaled so that the largest is 100.

Largest 8 diffraction maxima, in order of rising 2θ, 15 to 90 degrees two-theta:
- hkl 0 0 2, 2θ 25.80, I = 92.4
- hkl 0 2 0, 2θ 27.82, I = 100.0
- hkl 3 1 1, 2θ 35.34, I = 91.4
- hkl 3 0 2, 2θ 39.66, I = 31.7
- hkl 3 2 0, 2θ 41.06, I = 18.4
- hkl 3 1 3, 2θ 51.95, I = 49.2
- hkl 3 3 1, 2θ 54.22, I = 55.4
- hkl 3 3 3, 2θ 67.34, I = 38.0

Cell and atoms:
Unit cell a=9.0551 b=6.4148 c=6.9056 alpha=90.00 beta=90.00 gamma=90.00
Space group Amm2 (No. 38)
One atom of each set of equivalent atoms:
V1 0.0000 0.0000 0.0000 [2 per cell]
V2 0.1668 0.0000 0.5475 [4 per cell]
V3 0.3327 0.0000 0.0930 [4 per cell]
V4 0.5000 0.0000 0.5444 [2 per cell]
O1 0.0000 0.0000 0.7425 [2 per cell]
O2 0.1664 0.1921 0.0470 [8 per cell]
O3 0.3332 0.0000 0.3519 [4 per cell]
O4 0.5000 0.1926 0.0532 [4 per cell]
F1 0.0000 0.0000 0.3476 [2 per cell]
F2 0.3334 0.0000 0.7483 [4 per cell]


# 2
Diffraction record for V2O3F3. The powder diffraction line list is computed, not measured: it uses a crystal structure in Alexandria, relaxed with GGA+U and λ = 1.5418 Å (Cu Kα).
Intensities are scaled so that the largest is 100.

Largest 8 diffraction maxima, in order of rising 2θ, 15 to 90 degrees two-theta:
- hkl 1 1 0, 2θ 23.59, I = 100.0
- hkl 0 0 2, 2θ 23.93, I = 52.8
- hkl 2 0 0, 2θ 33.43, I = 15.4
- hkl 2 2 0, 2θ 48.27, I = 19.7
- hkl 0 0 4, 2θ 48.99, I = 12.0
- hkl 3 1 0, 2θ 54.15, I = 10.4
- hkl 1 1 -4, 2θ 54.49, I = 9.0
- hkl 1 3 0, 2θ 54.64, I = 9.2

Cell and atoms:
Unit cell a=5.3634 b=5.3065 c=7.4420 alpha=90.00 beta=91.99 gamma=90.00
Space group P2 (No. 3)
One atom of each set of equivalent atoms:
V1 0.0297 0.0000 0.2326 [2 per cell]
V2 0.4560 0.5095 0.7342 [2 per cell]
O1 0.0000 0.0943 0.0000 [1 per cell]
O2 0.1962 0.3414 0.7242 [2 per cell]
O3 0.1979 0.7392 0.2210 [2 per cell]
O4 0.5000 0.5696 0.5000 [1 per cell]
F1 0.0000 0.9945 0.5000 [1 per cell]
F2 0.2995 0.8357 0.7791 [2 per cell]
F3 0.3080 0.2297 0.2787 [2 per cell]
F4 0.5000 0.4749 0.0000 [1 per cell]


# 3
Diffraction record for V6O7F5. The powder diffraction line list is computed, not measured: it uses a crystal structure in Alexandria, relaxed with GGA+U and λ = 1.5418 Å (Cu Kα).
Intensities are scaled so that the largest is 100.

Largest 8 diffraction maxima, in order of rising 2θ, 15 to 90 degrees two-theta:
- hkl 1 1 2, 2θ 26.80, I = 97.2
- hkl 1 -1 0, 2θ 27.10, I = 100.0
- hkl 1 0 -2, 2θ 34.50, I = 51.7
- hkl 0 1 -2, 2θ 34.60, I = 48.1
- hkl 2 2 1, 2θ 39.69, I = 24.4
- hkl 1 0 4, 2θ 52.55, I = 44.4
- hkl 1 -2 2, 2θ 52.94, I = 28.2
- hkl 4 1 2, 2θ 67.14, I = 20.5

Cell and atoms:
Unit cell a=5.6191 b=5.6209 c=7.3540 alpha=72.39 beta=72.79 gamma=71.68
Space group P1 (No. 1)
One atom of each set of equivalent atoms:
V1 0.0000 0.0000 0.0000 [1 per cell]
V2 0.0032 0.9995 0.5062 [1 per cell]
V3 0.3517 0.2816 0.1629 [1 per cell]
V4 0.3543 0.3603 0.6816 [1 per cell]
V5 0.6630 0.6539 0.3401 [1 per cell]
V6 0.7093 0.6432 0.8352 [1 per cell]
O1 0.9995 0.3527 0.8264 [1 per cell]
O2 0.1118 0.0812 0.2080 [1 per cell]
O3 0.3047 0.6852 0.5110 [1 per cell]
O4 0.4558 0.4262 0.8688 [1 per cell]
O5 0.6520 0.0045 0.1743 [1 per cell]
O6 0.6982 0.3042 0.5050 [1 per cell]
O7 0.9111 0.8874 0.7999 [1 per cell]
F1 0.0506 0.6121 0.1721 [1 per cell]
F2 0.2528 0.2213 0.4734 [1 per cell]
F3 0.3863 0.9600 0.8313 [1 per cell]
F4 0.5748 0.5450 0.1366 [1 per cell]
F5 0.7741 0.7586 0.5355 [1 per cell]


# 4
Diffraction record for V6O7F5. The powder diffraction line list is computed, not measured: it uses a crystal structure in Alexandria, relaxed with GGA+U and λ = 1.5418 Å (Cu Kα).
Intensities are scaled so that the largest is 100.

Largest 8 diffraction maxima, in order of rising 2θ, 15 to 90 degrees two-theta:
- hkl 1 1 2, 2θ 26.63, I = 100.0
- hkl 1 -1 0, 2θ 27.08, I = 95.9
- hkl 1 0 -2, 2θ 34.43, I = 24.2
- hkl 2 1 0, 2θ 34.70, I = 73.5
- hkl 1 0 4, 2θ 52.41, I = 29.9
- hkl 3 2 2, 2θ 52.57, I = 29.4
- hkl 3 0 0, 2θ 52.92, I = 26.3
- hkl 2 -1 4, 2θ 67.35, I = 21.0

Cell and atoms:
Unit cell a=5.6056 b=5.6352 c=7.3955 alpha=71.72 beta=72.64 gamma=71.72
Space group P1 (No. 1)
One atom of each set of equivalent atoms:
V1 0.0000 0.0000 0.0000 [1 per cell]
V2 0.9997 0.0619 0.5230 [1 per cell]
V3 0.2910 0.4136 0.6880 [1 per cell]
V4 0.2947 0.3732 0.1971 [1 per cell]
V5 0.6479 0.7205 0.3563 [1 per cell]
V6 0.6500 0.7116 0.8431 [1 per cell]
O1 0.0773 0.1520 0.7321 [1 per cell]
O2 0.2842 0.7382 0.0210 [1 per cell]
O3 0.3607 0.0268 0.3532 [1 per cell]
O4 0.5402 0.6098 0.6526 [1 per cell]
O5 0.7528 0.8213 0.0488 [1 per cell]
O6 0.9432 0.4112 0.3519 [1 per cell]
O7 0.9964 0.7015 0.6812 [1 per cell]
F1 0.2017 0.2746 0.9888 [1 per cell]
F2 0.4006 0.4960 0.3870 [1 per cell]
F3 0.6031 0.0915 0.6789 [1 per cell]
F4 0.6868 0.3346 0.0264 [1 per cell]
F5 0.8976 0.9495 0.3080 [1 per cell]


# 5
Diffraction record for V3O7F. The powder diffraction line list is computed, not measured: it uses a crystal structure in Alexandria, relaxed with GGA+U and λ = 1.5418 Å (Cu Kα).
Intensities are scaled so that the largest is 100.

Largest 8 diffraction maxima, in order of rising 2θ, 15 to 90 degrees two-theta:
- hkl 2 2 0, 2θ 21.33, I = 83.3
- hkl 4 1 0, 2θ 25.25, I = 49.5
- hkl 1 0 1, 2θ 25.44, I = 100.0
- hkl 2 3 0, 2θ 29.31, I = 50.7
- hkl 4 2 0, 2θ 29.69, I = 24.4
- hkl 3 0 1, 2θ 30.54, I = 23.9
- hkl 0 0 2, 2θ 50.72, I = 27.1
- hkl 4 5 0, 2θ 51.77, I = 28.5

Cell and atoms:
Unit cell a=15.0775 b=9.9949 c=3.6001 alpha=90.00 beta=90.00 gamma=90.00
Space group Pnma (No. 62)
One atom of each set of equivalent atoms:
V1 0.0498 0.2500 0.0496 [4 per cell]
V2 0.1634 0.5584 0.0028 [8 per cell]
O1 0.0291 0.2500 0.5107 [4 per cell]
O2 0.0621 0.6220 0.9981 [8 per cell]
O3 0.1248 0.1156 0.0113 [8 per cell]
O4 0.1990 0.5503 0.5082 [8 per cell]
F1 0.2139 0.7500 0.0114 [4 per cell]


# 6
Diffraction record for V6O5F19. The powder diffraction line list is computed, not measured: it uses a crystal structure in Alexandria, relaxed with GGA+U and λ = 1.5418 Å (Cu Kα).
Intensities are scaled so that the largest is 100.

Largest 8 diffraction maxima, in order of rising 2θ, 15 to 90 degrees two-theta:
- hkl 0 0 3, 2θ 18.17, I = 100.0
- hkl 1 1 1, 2θ 22.87, I = 12.7
- hkl 1 1 -1, 2θ 24.45, I = 90.4
- hkl 1 -1 1, 2θ 25.24, I = 92.7
- hkl 0 2 1, 2θ 32.25, I = 11.5
- hkl 1 0 6, 2θ 40.62, I = 18.0
- hkl 2 2 1, 2θ 46.27, I = 10.6
- hkl -2 2 1, 2θ 48.08, I = 19.0

Cell and atoms:
Unit cell a=5.3528 b=5.5554 c=14.8957 alpha=79.50 beta=89.62 gamma=87.91
Space group P1 (No. 1)
One atom of each set of equivalent atoms:
V1 0.0000 0.0000 0.0000 [1 per cell]
V2 0.0136 0.4288 0.3358 [1 per cell]
V3 0.1091 0.7640 0.6792 [1 per cell]
V4 0.5030 0.4913 0.0122 [1 per cell]
V5 0.5344 0.9046 0.3406 [1 per cell]
V6 0.6059 0.2727 0.6675 [1 per cell]
O1 0.3174 0.2678 0.0386 [1 per cell]
O2 0.3168 0.9420 0.7054 [1 per cell]
O3 0.7910 0.4968 0.6415 [1 per cell]
O4 0.7936 0.8214 0.9734 [1 per cell]
O5 0.8062 0.6577 0.3116 [1 per cell]
F1 0.1348 0.4121 0.2261 [1 per cell]
F2 0.1540 0.1063 0.8953 [1 per cell]
F3 0.1550 0.7689 0.5611 [1 per cell]
F4 0.2735 0.7579 0.0333 [1 per cell]
F5 0.2847 0.1218 0.3690 [1 per cell]
F6 0.2914 0.6290 0.3558 [1 per cell]
F7 0.3120 0.4568 0.7007 [1 per cell]
F8 0.4518 0.5947 0.8938 [1 per cell]
F9 0.4607 0.2564 0.5623 [1 per cell]
F10 0.4722 0.9605 0.2222 [1 per cell]
F11 0.6311 0.8086 0.4551 [1 per cell]
F12 0.6495 0.5085 0.1173 [1 per cell]
F13 0.6582 0.1665 0.7857 [1 per cell]
F14 0.7843 0.1687 0.3230 [1 per cell]
F15 0.7971 0.3060 0.9794 [1 per cell]
F16 0.8374 0.0071 0.6456 [1 per cell]
F17 0.9549 0.9912 0.1185 [1 per cell]
F18 0.9558 0.6590 0.7842 [1 per cell]
F19 0.9763 0.3473 0.4554 [1 per cell]


# 7
Diffraction record for V2OF8. The powder diffraction line list is computed, not measured: it uses a crystal structure in Alexandria, relaxed with GGA+U and λ = 1.5418 Å (Cu Kα).
Intensities are scaled so that the largest is 100.

Largest 8 diffraction maxima, in order of rising 2θ, 15 to 90 degrees two-theta:
- hkl 0 1 0, 2θ 16.54, I = 58.1
- hkl 1 0 2, 2θ 17.79, I = 65.3
- hkl 1 1 0, 2θ 19.54, I = 36.0
- hkl 1 1 -1, 2θ 19.73, I = 100.0
- hkl 2 0 0, 2θ 20.77, I = 52.1
- hkl 0 0 4, 2θ 24.45, I = 57.3
- hkl 1 2 -4, 2θ 41.71, I = 31.0
- hkl 4 1 -3, 2θ 45.35, I = 26.7

Cell and atoms:
Unit cell a=8.8088 b=5.3595 c=14.9799 alpha=90.00 beta=103.78 gamma=90.00
Space group P2/c (No. 13)
One atom of each set of equivalent atoms:
V1 0.0483 0.0613 0.1608 [4 per cell]
V2 0.4122 0.2204 0.6232 [4 per cell]
O1 0.2065 0.0718 0.6404 [4 per cell]
F1 0.0000 0.1873 0.7500 [2 per cell]
F2 0.0402 0.3515 0.1060 [4 per cell]
F3 0.1028 0.0824 0.9214 [4 per cell]
F4 0.1408 0.1985 0.2776 [4 per cell]
F5 0.3161 0.3249 0.5144 [4 per cell]
F6 0.3564 0.4768 0.6824 [4 per cell]
F7 0.4031 0.3330 0.8787 [4 per cell]
F8 0.4448 0.0868 0.0889 [4 per cell]
F9 0.5000 0.0866 0.7500 [2 per cell]


# 8
Diffraction record for V6O7F5. The powder diffraction line list is computed, not measured: it uses a crystal structure in Alexandria, relaxed with GGA+U and λ = 1.5418 Å (Cu Kα).
Intensities are scaled so that the largest is 100.

Largest 8 diffraction maxima, in order of rising 2θ, 15 to 90 degrees two-theta:
- hkl 1 0 -1, 2θ 26.21, I = 100.0
- hkl 1 0 1, 2θ 27.51, I = 99.6
- hkl 0 3 1, 2θ 34.68, I = 98.8
- hkl 1 3 -1, 2θ 39.33, I = 25.1
- hkl 1 3 1, 2θ 40.24, I = 22.2
- hkl 1 3 -2, 2θ 51.92, I = 63.1
- hkl 1 3 2, 2θ 53.40, I = 55.3
- hkl 0 3 3, 2θ 66.92, I = 34.1

Cell and atoms:
Unit cell a=4.6921 b=9.3015 c=4.7039 alpha=90.00 beta=92.71 gamma=90.00
Space group Pm (No. 6)
One atom of each set of equivalent atoms:
V1 0.0000 0.0000 0.0000 [1 per cell]
V2 0.0262 0.3247 0.9695 [2 per cell]
V3 0.4577 0.5000 0.4748 [1 per cell]
V4 0.4918 0.1733 0.5039 [2 per cell]
O1 0.1859 0.5000 0.1655 [1 per cell]
O2 0.2019 0.1556 0.1866 [2 per cell]
O3 0.3045 0.3318 0.6773 [2 per cell]
O4 0.8068 0.1570 0.7986 [2 per cell]
F1 0.2987 0.0000 0.6962 [1 per cell]
F2 0.6980 0.3341 0.2810 [2 per cell]
F3 0.6987 0.0000 0.3034 [1 per cell]
F4 0.8023 0.5000 0.7639 [1 per cell]